[1]
For Li9Mn2Co5O16, a cell relaxed with PBE+U gives the computed powder X-ray diffraction pattern in this record (copper Kα).

```
data_Li9Mn2Co5O16
_symmetry_space_group_name_H-M 'P 1'
_symmetry_Int_Tables_number 1
_cell_length_a 3.0157
_cell_length_b 5.9973
_cell_length_c 16.1024
_cell_angle_alpha 90.85
_cell_angle_beta 90.86
_cell_angle_gamma 94.43
loop_
_symmetry_equiv_pos_as_xyz
'x,y,z'
loop_
_atom_site_label
_atom_site_type_symbol
_atom_site_fract_x
_atom_site_fract_y
_atom_site_fract_z
Li1 Li 0.0000 0.0000 0.0000
Li2 Li 0.0001 0.4974 0.2533
Li3 Li 0.0026 0.5000 0.5014
Li4 Li 0.0038 0.9980 0.5002
Li5 Li 0.0053 0.4995 0.7489
Li6 Li 0.5001 0.7408 0.3791
Li7 Li 0.5023 0.2494 0.1237
Li8 Li 0.5017 0.7482 0.8757
Li9 Li 0.5038 0.2550 0.6237
Mn1 Mn 0.9996 0.0009 0.2533
Mn2 Mn 0.5028 0.7451 0.1248
Co1 Co 0.0092 0.4944 0.9985
Co2 Co 0.4954 0.2615 0.3822
Co3 Co 0.4998 0.2464 0.8736
Co4 Co 0.5070 0.7397 0.6210
Co5 Co 0.9978 0.9993 0.7492
O1 O 0.0177 0.4846 0.8798
O2 O 0.0268 0.0108 0.3730
O3 O 0.0280 0.5025 0.1185
O4 O 0.0291 0.5194 0.6258
O5 O 0.4742 0.7334 0.0034
O6 O 0.4750 0.2362 0.7538
O7 O 0.4765 0.2428 0.2616
O8 O 0.5008 0.7536 0.5134
O9 O 0.5062 0.2460 0.4896
O10 O 0.5294 0.7554 0.2464
O11 O 0.5293 0.7641 0.7407
O12 O 0.5321 0.2585 0.9948
O13 O 0.9712 0.9930 0.1307
O14 O 0.9783 0.4800 0.3771
O15 O 0.9803 0.9844 0.6318
O16 O 0.9843 0.0084 0.8685
```

Principal peaks in the range 10 to 90 degrees two-theta, low angle first:
hkl  two_theta  Rel. int.
0 1 -2  18.34  100
-1 1 2  34.11  20
1 1 2  36.46  12
0 1 6  36.97  15
1 -2 0  40.89  35
1 2 0  44.36  27
0 0 8  45.05  24
2 0 0  61.71  8
0 4 0  62.10  8
1 -2 8  62.46  16

[2]
For SrCa7Mn6Al2O21, a cell relaxed with PBE+U gives the computed powder X-ray diffraction pattern in this record (copper Kα).

```
data_SrCa7Mn6Al2O21
_symmetry_space_group_name_H-M 'A m m 2'
_symmetry_Int_Tables_number 38
_cell_length_a 7.4701
_cell_length_b 10.9506
_cell_length_c 10.9631
_cell_angle_alpha 90.00
_cell_angle_beta 90.00
_cell_angle_gamma 90.00
loop_
_symmetry_equiv_pos_as_xyz
'x,y,z'
'-x,-y,z'
'-x,y,z'
'x,-y,z'
'x,y+1/2,z+1/2'
'-x,-y+1/2,z+1/2'
'-x,y+1/2,z+1/2'
'x,-y+1/2,z+1/2'
loop_
_atom_site_label
_atom_site_type_symbol
_atom_site_fract_x
_atom_site_fract_y
_atom_site_fract_z
Sr1 Sr 0.0000 0.0000 0.0000
Ca1 Ca 0.0000 0.0000 0.4807
Ca2 Ca 0.0000 0.2381 0.2429
Ca3 Ca 0.5000 0.0000 0.4899
Ca4 Ca 0.5000 0.0000 0.9944
Ca5 Ca 0.5000 0.2481 0.2428
Mn1 Mn 0.2516 0.0000 0.2429
Mn2 Mn 0.2533 0.2491 0.4927
Al1 Al 0.2494 0.0000 0.7414
O1 O 0.0000 0.0000 0.2464
O2 O 0.0000 0.2474 0.4912
O3 O 0.2501 0.1170 0.6246
O4 O 0.2534 0.1179 0.8582
O5 O 0.2722 0.1219 0.3647
O6 O 0.2735 0.1230 0.1215
O7 O 0.5000 0.2491 0.4923
```

Principal peaks in the range 10 to 90 degrees two-theta, low angle first:
hkl  two_theta  Rel. int.
0 1 1  11.42  12
0 0 4  32.69  38
2 2 2  33.32  100
2 4 0  40.85  12
0 4 4  46.91  44
4 0 0  48.76  19
2 6 2  58.75  35
4 0 4  59.95  14
4 4 4  69.98  22
4 8 0  88.54  11

[3]
For LiFe2OF3, a cell relaxed with PBE+U gives the computed powder X-ray diffraction pattern in this record (copper Kα).

```
data_LiFe2OF3
_symmetry_space_group_name_H-M 'P n m a'
_symmetry_Int_Tables_number 62
_cell_length_a 10.4825
_cell_length_b 6.2420
_cell_length_c 5.1807
_cell_angle_alpha 90.00
_cell_angle_beta 90.00
_cell_angle_gamma 90.00
loop_
_symmetry_equiv_pos_as_xyz
'x,y,z'
'-x,-y,-z'
'-x+1/2,-y,z+1/2'
'x+1/2,y,-z+1/2'
'x+1/2,-y+1/2,-z+1/2'
'-x+1/2,y+1/2,z+1/2'
'-x,y+1/2,-z'
'x,-y+1/2,z'
loop_
_atom_site_label
_atom_site_type_symbol
_atom_site_fract_x
_atom_site_fract_y
_atom_site_fract_z
Li1 Li 0.0919 0.2500 0.0224
Fe1 Fe 0.0000 0.0000 0.5000
Fe2 Fe 0.2406 0.7500 0.0004
O1 O 0.0860 0.2500 0.6558
F1 F 0.0727 0.7500 0.7954
F2 F 0.1664 0.0169 0.2244
```

Principal peaks in the range 10 to 90 degrees two-theta, low angle first:
hkl  two_theta  Rel. int.
1 0 1  19.11  57
1 1 1  23.88  100
3 0 1  30.87  36
2 2 0  33.42  30
4 0 0  34.16  37
0 0 2  34.63  43
2 2 1  37.78  25
2 2 2  48.89  69
4 0 2  49.48  30
6 2 0  60.75  27

[4]
For MoH8N2O4, a cell relaxed with PBE+U gives the computed powder X-ray diffraction pattern in this record (copper Kα).

```
data_MoH8N2O4
_symmetry_space_group_name_H-M 'C 1 2/m 1'
_symmetry_Int_Tables_number 12
_cell_length_a 12.7634
_cell_length_b 6.6690
_cell_length_c 7.8476
_cell_angle_alpha 90.00
_cell_angle_beta 117.18
_cell_angle_gamma 90.00
loop_
_symmetry_equiv_pos_as_xyz
'x,y,z'
'-x,-y,-z'
'-x,y,-z'
'x,-y,z'
'x+1/2,y+1/2,z'
'-x+1/2,-y+1/2,-z'
'-x+1/2,y+1/2,-z'
'x+1/2,-y+1/2,z'
loop_
_atom_site_label
_atom_site_type_symbol
_atom_site_fract_x
_atom_site_fract_y
_atom_site_fract_z
Mo1 Mo 0.1696 0.0000 0.2215
H1 H 0.0265 0.3745 0.8497
H2 H 0.0672 0.5000 0.7022
H3 H 0.0763 0.5000 0.3498
H4 H 0.0797 0.0000 0.7480
H5 H 0.1381 0.0000 0.5942
H6 H 0.2104 0.1242 0.8077
N1 N 0.0095 0.5000 0.7629
N2 N 0.1591 0.0000 0.7400
O1 O 0.0782 0.0000 0.3421
O2 O 0.1417 0.2205 0.0756
O3 O 0.1764 0.5000 0.6080
```

Principal peaks in the range 10 to 90 degrees two-theta, low angle first:
hkl  two_theta  Rel. int.
2 0 -1  14.95  37
1 1 0  15.41  37
1 1 -1  17.57  100
1 1 1  22.19  42
2 0 -2  23.02  22
0 0 2  25.52  27
0 2 0  26.73  37
3 1 0  27.09  55
3 1 -2  28.96  41
0 2 2  37.29  32

[5]
For Li9Mn2Co5O16, a cell relaxed with PBE+U gives the computed powder X-ray diffraction pattern in this record (copper Kα).

```
data_Li9Mn2Co5O16
_symmetry_space_group_name_H-M 'P -1'
_symmetry_Int_Tables_number 2
_cell_length_a 5.6643
_cell_length_b 5.9440
_cell_length_c 10.0388
_cell_angle_alpha 88.40
_cell_angle_beta 73.72
_cell_angle_gamma 61.55
loop_
_symmetry_equiv_pos_as_xyz
'x,y,z'
'-x,-y,-z'
loop_
_atom_site_label
_atom_site_type_symbol
_atom_site_fract_x
_atom_site_fract_y
_atom_site_fract_z
Li1 Li 0.0000 0.0000 0.0000
Li2 Li 0.0026 0.2529 0.2445
Li3 Li 0.0044 0.7469 0.2424
Li4 Li 0.4914 0.2570 0.7577
Li5 Li 0.4987 0.2511 0.2483
Mn1 Mn 0.0000 0.0000 0.5000
Mn2 Mn 0.5000 0.5000 0.5000
Co1 Co 0.0000 0.5000 0.0000
Co2 Co 0.0000 0.5000 0.5000
Co3 Co 0.5000 0.0000 0.0000
Co4 Co 0.5000 0.0000 0.5000
Co5 Co 0.5000 0.5000 0.0000
O1 O 0.2339 0.1616 0.9004
O2 O 0.2411 0.8989 0.6218
O3 O 0.2423 0.3979 0.1176
O4 O 0.2447 0.3876 0.6151
O5 O 0.2512 0.6069 0.8905
O6 O 0.2534 0.6039 0.3829
O7 O 0.2607 0.1059 0.3817
O8 O 0.2959 0.8384 0.1001
```

Principal peaks in the range 10 to 90 degrees two-theta, low angle first:
hkl  two_theta  Rel. int.
0 0 2  18.56  100
0 2 0  34.60  18
2 2 0  36.81  24
2 2 2  37.95  8
0 2 2  41.66  31
2 2 -2  44.88  51
2 4 0  62.68  15
2 0 -4  63.04  7
2 2 6  63.15  7
4 2 2  65.97  7

[6]
For K4LiMn4O8, a cell relaxed with PBE+U gives the computed powder X-ray diffraction pattern in this record (copper Kα).

```
data_K4LiMn4O8
_symmetry_space_group_name_H-M 'P 1'
_symmetry_Int_Tables_number 1
_cell_length_a 3.0190
_cell_length_b 6.4488
_cell_length_c 13.8414
_cell_angle_alpha 89.39
_cell_angle_beta 89.93
_cell_angle_gamma 90.00
loop_
_symmetry_equiv_pos_as_xyz
'x,y,z'
loop_
_atom_site_label
_atom_site_type_symbol
_atom_site_fract_x
_atom_site_fract_y
_atom_site_fract_z
K1 K 0.0000 0.0000 0.0000
K2 K 0.0003 0.3635 0.5257
K3 K 0.4983 0.5166 0.8386
K4 K 0.4992 0.8864 0.3567
Li1 Li 0.9999 0.1525 0.1923
Mn1 Mn 0.9997 0.8645 0.5881
Mn2 Mn 0.0006 0.5186 0.0921
Mn3 Mn 0.4987 0.0126 0.7668
Mn4 Mn 0.4993 0.4159 0.2833
O1 O 0.9996 0.6117 0.2535
O2 O 0.4996 0.0637 0.6087
O3 O 0.5003 0.2723 0.1344
O4 O 0.5000 0.7012 0.5372
O5 O 0.5010 0.6629 0.0236
O6 O 0.9983 0.1756 0.8178
O7 O 0.9990 0.2293 0.3283
O8 O 0.9988 0.8143 0.7447
```

Principal peaks in the range 10 to 90 degrees two-theta, low angle first:
hkl  two_theta  Rel. int.
0 1 1  15.10  89
0 1 -1  15.22  89
0 0 4  25.75  100
0 2 -1  28.49  32
1 0 2  32.35  75
0 1 5  35.15  60
0 1 -5  35.41  43
1 -2 1  41.54  48
1 2 2  42.98  57
1 2 -2  43.17  46

[7]
For Zn3Fe9P8O32, a cell relaxed with PBE+U gives the computed powder X-ray diffraction pattern in this record (copper Kα).

```
data_Zn3Fe9P8O32
_symmetry_space_group_name_H-M 'P -1'
_symmetry_Int_Tables_number 2
_cell_length_a 6.1280
_cell_length_b 9.6599
_cell_length_c 10.5707
_cell_angle_alpha 89.75
_cell_angle_beta 89.82
_cell_angle_gamma 89.81
loop_
_symmetry_equiv_pos_as_xyz
'x,y,z'
'-x,-y,-z'
loop_
_atom_site_label
_atom_site_type_symbol
_atom_site_fract_x
_atom_site_fract_y
_atom_site_fract_z
Zn1 Zn 0.0000 0.0000 0.0000
Zn2 Zn 0.9997 0.2500 0.5000
Fe1 Fe 0.0000 0.5000 0.0000
Fe2 Fe 0.2635 0.2580 0.7827
Fe3 Fe 0.2644 0.4911 0.2827
Fe4 Fe 0.2639 0.9902 0.2829
Fe5 Fe 0.2647 0.7593 0.7826
P1 P 0.2378 0.0349 0.5992
P2 P 0.2381 0.2141 0.0997
P3 P 0.2376 0.5351 0.5997
P4 P 0.2383 0.7157 0.0999
O1 O 0.0279 0.6095 0.6595
O2 O 0.0286 0.1097 0.6591
O3 O 0.0289 0.1400 0.1598
O4 O 0.0296 0.6421 0.1602
O5 O 0.2216 0.3735 0.1042
O6 O 0.2223 0.8756 0.1047
O7 O 0.2230 0.3754 0.6049
O8 O 0.2225 0.8755 0.6046
O9 O 0.2453 0.0927 0.4619
O10 O 0.2451 0.5927 0.4623
O11 O 0.2459 0.1577 0.9623
O12 O 0.2464 0.6596 0.9628
O13 O 0.4271 0.5902 0.6819
O14 O 0.4276 0.0901 0.6812
O15 O 0.4280 0.1590 0.1821
O16 O 0.4282 0.6596 0.1820
```

Principal peaks in the range 10 to 90 degrees two-theta, low angle first:
hkl  two_theta  Rel. int.
1 0 0  14.45  71
1 0 -2  22.24  100
1 2 -1  24.95  85
-1 2 1  24.97  83
0 2 3  31.36  54
0 2 -3  31.49  54
1 2 3  34.63  60
1 -2 3  34.80  78
2 2 1  35.67  59
2 -2 1  35.78  58

[8]
For VPO4, a cell relaxed with PBE+U gives the computed powder X-ray diffraction pattern in this record (copper Kα).

```
data_VPO4
_symmetry_space_group_name_H-M 'P n m a'
_symmetry_Int_Tables_number 62
_cell_length_a 8.7936
_cell_length_b 6.5885
_cell_length_c 4.7839
_cell_angle_alpha 90.00
_cell_angle_beta 90.00
_cell_angle_gamma 90.00
loop_
_symmetry_equiv_pos_as_xyz
'x,y,z'
'-x,-y,-z'
'-x+1/2,-y,z+1/2'
'x+1/2,y,-z+1/2'
'x+1/2,-y+1/2,-z+1/2'
'-x+1/2,y+1/2,z+1/2'
'-x,y+1/2,-z'
'x,-y+1/2,z'
loop_
_atom_site_label
_atom_site_type_symbol
_atom_site_fract_x
_atom_site_fract_y
_atom_site_fract_z
V1 V 0.0000 0.0000 0.0000
P1 P 0.1760 0.2500 0.4759
O1 O 0.1165 0.2500 0.7848
O2 O 0.1216 0.0552 0.3317
O3 O 0.1452 0.7500 0.9500
```

Principal peaks in the range 10 to 90 degrees two-theta, low angle first:
hkl  two_theta  Rel. int.
2 0 0  20.20  22
1 0 1  21.14  58
2 1 0  24.34  43
1 1 1  25.14  100
2 2 0  34.01  63
1 2 1  34.60  41
3 0 1  35.93  57
1 0 2  39.01  37
2 2 2  51.59  34
5 2 1  62.97  28

Q: What is the formula in the sixth record?
A: K4LiMn4O8